Calculated PXRD pattern of Li5V2Ni5O12 for Cu Kα, 1.54184 Å, from a cell relaxed with PBE+U.

Main lines, low angle first (15 to 90 degrees two-theta):
hkl 0 0 2, d = 4.807 Å, intensity 34
hkl 0 2 0, d = 4.485 Å, intensity 21
hkl 1 1 -1, d = 4.222 Å, intensity 22
hkl 1 1 1, d = 3.721 Å, intensity 27
hkl 1 3 1, d = 2.414 Å, intensity 26
hkl 2 0 -2, d = 2.392 Å, intensity 20
hkl 1 3 -3, d = 2.104 Å, intensity 100
hkl 2 0 2, d = 2.044 Å, intensity 46
hkl 1 3 5, d = 1.469 Å, intensity 26
hkl 3 3 -1, d = 1.464 Å, intensity 26

Structural model:
Unit cell a=5.0373 b=8.9703 c=9.7956 alpha=90.00 beta=101.06 gamma=90.00
Space group C2 (No. 5)
Inequivalent atoms, fractional coordinates:
Li 0.0000 0.0000 0.0000
Li 0.2460 0.0019 0.7528
Li 0.2471 0.1622 0.2478
V 0.0000 0.3325 0.0000
V 0.0000 0.8327 0.5000
Ni 0.0000 0.1636 0.5000
Ni 0.0000 0.5027 0.5000
Ni 0.0000 0.6622 0.0000
Ni 0.2452 0.8337 0.2469
O 0.1102 0.4829 0.8846
O 0.1183 0.1809 0.8830
O 0.1190 0.6762 0.3788
O 0.1191 0.9901 0.3784
O 0.1426 0.3333 0.3850
O 0.1475 0.8273 0.8850